Record 1
Structure and computed XRD peak list of LiLaSm2In4 (the GGA-PBE geometry in Alexandria; Cu Kα (λ = 1.5418 Å)).
Neutral-atom scattering factors, no anomalous dispersion.

Structural model:
```
data_LiLaSm2In4
_cell_length_a 5.3198
_cell_length_b 5.3198
_cell_length_c 27.0847
_cell_angle_alpha 90.00
_cell_angle_beta 90.00
_cell_angle_gamma 120.00
_space_group_name_H-M_alt 'R -3 m'
_space_group_IT_number 166
_space_group_name_Hall '-R 3 2"'
loop_
_atom_site_label
_atom_site_type_symbol
_atom_site_fract_x
_atom_site_fract_y
_atom_site_fract_z
Li1 Li 0.0000 0.0000 0.0000
La1 La 0.0000 0.0000 0.5000
Sm1 Sm 0.0000 0.0000 0.2556
In1 In 0.0000 0.0000 0.1213
In2 In 0.0000 0.0000 0.3726
```

Most intense lines, 10 to 80 degrees two-theta, sorted by position:
Position (°2θ), I/Imax
32.8, 100.0
33.7, 97.0
47.8, 34.6
58.1, 17.5
59.7, 35.0
60.3, 17.7



Record 2
Structure and computed XRD peak list of Os2SeN (the GGA-PBE geometry in Alexandria; Cu Kα (λ = 1.5418 Å)).
Neutral-atom scattering factors, no anomalous dispersion.

Structural model:
```
data_Os2SeN
_cell_length_a 4.963
_cell_length_b 4.963
_cell_length_c 10.298
_cell_angle_alpha 90.00
_cell_angle_beta 90.00
_cell_angle_gamma 90.00
_space_group_name_H-M_alt 'I -4 2 d'
_space_group_IT_number 122
_space_group_name_Hall 'I -4 2bw'
loop_
_atom_site_label
_atom_site_type_symbol
_atom_site_fract_x
_atom_site_fract_y
_atom_site_fract_z
Os1 Os 0.164 0.250 0.125
Se1 Se 0.000 0.000 0.500
N1 N 0.000 0.000 0.000
```

Most intense lines, 10 to 80 degrees two-theta, sorted by position:
Position (°2θ), I/Imax
30.8, 100.0
31.7, 17.0
41.6, 38.0
48.9, 14.9
51.1, 29.6
60.0, 15.3



Record 3
Structure and computed XRD peak list of Th7Cd2Fe2 (the GGA-PBE geometry in Alexandria; Cu Kα (λ = 1.5418 Å)).
Neutral-atom scattering factors, no anomalous dispersion.

Structural model:
```
data_Th7Cd2Fe2
_cell_length_a 3.654
_cell_length_b 16.640
_cell_length_c 9.881
_cell_angle_alpha 90.00
_cell_angle_beta 90.00
_cell_angle_gamma 90.00
_space_group_name_H-M_alt 'I m m 2'
_space_group_IT_number 44
_space_group_name_Hall 'I 2 -2'
loop_
_atom_site_label
_atom_site_type_symbol
_atom_site_fract_x
_atom_site_fract_y
_atom_site_fract_z
Th1 Th 0.000 0.000 0.000
Th2 Th 0.000 0.152 0.561
Th3 Th 0.000 0.326 0.362
Th4 Th 0.000 0.342 0.731
Cd1 Cd 0.000 0.000 0.342
Cd2 Cd 0.000 0.500 0.199
Fe1 Fe 0.000 0.223 0.052
```

Most intense lines, 10 to 80 degrees two-theta, sorted by position:
Position (°2θ), I/Imax
30.9, 51.2
31.6, 100.0
32.3, 52.7
33.9, 59.6
34.5, 70.2
60.3, 32.8



Record 4
Structure and computed XRD peak list of Nb3Mo4 (the GGA-PBE geometry in Alexandria; Cu Kα (λ = 1.5418 Å)).
Neutral-atom scattering factors, no anomalous dispersion.

Structural model:
```
data_Nb3Mo4
_cell_length_a 12.0488
_cell_length_b 12.0488
_cell_length_c 5.5921
_cell_angle_alpha 90.00
_cell_angle_beta 90.00
_cell_angle_gamma 120.00
_space_group_name_H-M_alt 'R -3'
_space_group_IT_number 148
_space_group_name_Hall '-R 3'
loop_
_atom_site_label
_atom_site_type_symbol
_atom_site_fract_x
_atom_site_fract_y
_atom_site_fract_z
Nb1 Nb 0.0478 0.2379 0.1667
Mo1 Mo 0.0000 0.0000 0.0000
Mo2 Mo 0.0000 0.0000 0.5000
Mo3 Mo 0.0472 0.2363 0.6660
```

Most intense lines, 10 to 80 degrees two-theta, sorted by position:
Position (°2θ), I/Imax
39.5, 100.0
57.2, 16.4
71.6, 8.3
71.8, 24.7



Record 5
Structure and computed XRD peak list of ZnIrPt2 (the GGA-PBE geometry in Alexandria; Cu Kα (λ = 1.5418 Å)).
Neutral-atom scattering factors, no anomalous dispersion.

Structural model:
```
data_ZnIrPt2
_cell_length_a 3.928
_cell_length_b 3.928
_cell_length_c 7.761
_cell_angle_alpha 90.00
_cell_angle_beta 90.00
_cell_angle_gamma 90.00
_space_group_name_H-M_alt 'I 4/m m m'
_space_group_IT_number 139
_space_group_name_Hall '-I 4 2'
loop_
_atom_site_label
_atom_site_type_symbol
_atom_site_fract_x
_atom_site_fract_y
_atom_site_fract_z
Zn1 Zn 0.000 0.000 0.000
Ir1 Ir 0.000 0.000 0.500
Pt1 Pt 0.000 0.500 0.250
```

Most intense lines, 10 to 80 degrees two-theta, sorted by position:
Position (°2θ), I/Imax
25.4, 10.6
39.9, 100.0
46.2, 33.0
46.8, 15.9
67.4, 10.7
67.9, 21.1



Record 6
Structure and computed XRD peak list of KHgS14 (the GGA-PBE geometry in Alexandria; Cu Kα (λ = 1.5418 Å)).
Neutral-atom scattering factors, no anomalous dispersion.

Structural model:
```
data_KHgS14
_cell_length_a 17.908
_cell_length_b 22.117
_cell_length_c 5.810
_cell_angle_alpha 90.00
_cell_angle_beta 98.62
_cell_angle_gamma 90.00
_space_group_name_H-M_alt 'C 1 2/c 1'
_space_group_IT_number 15
_space_group_name_Hall '-C 2yc'
loop_
_atom_site_label
_atom_site_type_symbol
_atom_site_fract_x
_atom_site_fract_y
_atom_site_fract_z
K1 K 0.000 0.200 0.250
Hg1 Hg 0.000 0.500 0.000
S1 S 0.057 0.177 0.778
S2 S 0.086 0.343 0.524
S3 S 0.117 0.305 0.833
S4 S 0.129 0.036 0.853
S5 S 0.160 0.385 0.059
S6 S 0.186 0.036 0.172
S7 S 0.191 0.346 0.364
```

Most intense lines, 10 to 80 degrees two-theta, sorted by position:
Position (°2θ), I/Imax
15.5, 20.5
18.9, 18.0
19.3, 100.0
24.1, 22.5
38.3, 13.3
42.3, 13.5